Entry 1:
The following is a theoretical X-ray diffraction stick pattern of YHoTl6. It was derived from DFT lattice parameters and positions (GGA-PBE), using Cu Kα (weighted mean of Kα1 and Kα2).
Peak positions follow from Bragg's law for the DFT cell and can differ from measured ones.

Crystal structure
abc: 4.7658 4.7658 9.5327
angles: 90.00 90.00 90.00
Fractional coordinates of all 8 atoms:
Y 0.0000 0.0000 0.0000
Ho 0.0000 0.0000 0.5000
Tl 0.0000 0.5000 0.2509
Tl 0.0000 0.5000 0.7491
Tl 0.5000 0.0000 0.2509
Tl 0.5000 0.0000 0.7491
Tl 0.5000 0.5000 0.0000
Tl 0.5000 0.5000 0.5000

Most intense lines, 10° ≤ 2θ ≤ 80°, low angle first:
Position (°2θ)  I_rel
18.62  3
20.84  1
26.45  2
32.54  100
37.75  50
42.41  2
46.68  1
54.45  36
58.06  1
64.89  42
68.16  12
74.49  1

Entry 2:
The following is a theoretical X-ray diffraction stick pattern of Y2Ho2Tl3. It was derived from DFT lattice parameters and positions (GGA-PBE), using Cu Kα (weighted mean of Kα1 and Kα2).
Peak positions follow from Bragg's law for the DFT cell and can differ from measured ones.

Crystal structure
abc: 6.7811 6.7811 8.2762
angles: 100.16 100.16 32.28
Fractional coordinates of all 7 atoms:
Y 0.2019 0.2019 0.1508
Y 0.7981 0.7981 0.8492
Ho 0.0678 0.0678 0.7192
Ho 0.9322 0.9322 0.2808
Tl 0.3539 0.3539 0.5454
Tl 0.5000 0.5000 0.0000
Tl 0.6461 0.6461 0.4546

Most intense lines, 10° ≤ 2θ ≤ 80°, low angle first:
Position (°2θ)  I_rel
31.86  47
32.25  100
33.43  39
34.01  79
44.15  19
48.28  15
49.45  12
55.86  19
57.89  16
59.02  17
59.29  15
60.00  15

Entry 3:
The following is a theoretical X-ray diffraction stick pattern of Y5Ho2Tl4. It was derived from DFT lattice parameters and positions (GGA-PBE), using Cu Kα (weighted mean of Kα1 and Kα2).
Peak positions follow from Bragg's law for the DFT cell and can differ from measured ones.

Crystal structure
abc: 15.2518 15.2518 15.2518
angles: 166.90 147.18 35.48
Fractional coordinates of all 11 atoms:
Y 0.0000 0.0000 0.0000
Y 0.9996 0.3003 0.6993
Y 0.0004 0.6997 0.3007
Y 0.3990 0.6997 0.6993
Y 0.6010 0.3003 0.3007
Ho 0.0959 0.5959 0.5000
Ho 0.9041 0.4041 0.5000
Tl 0.2983 0.7983 0.5000
Tl 0.3189 0.5000 0.8189
Tl 0.6811 0.5000 0.1811
Tl 0.7017 0.2017 0.5000

Most intense lines, 10° ≤ 2θ ≤ 80°, low angle first:
Position (°2θ)  I_rel
12.19  46
18.40  81
25.78  22
27.67  30
28.33  33
30.78  52
32.51  34
36.61  100
37.28  21
38.08  25
51.86  21
58.60  26

Entry 4:
The following is a theoretical X-ray diffraction stick pattern of Y3Ho3Tl2. It was derived from DFT lattice parameters and positions (GGA-PBE), using Cu Kα (weighted mean of Kα1 and Kα2).
Peak positions follow from Bragg's law for the DFT cell and can differ from measured ones.

Crystal structure
abc: 4.8501 4.8658 9.6701
angles: 90.00 90.00 90.00
Fractional coordinates of all 8 atoms:
Y 0.0000 0.0000 0.0000
Y 0.0000 0.0000 0.5000
Y 0.5000 0.5000 0.0000
Ho 0.0000 0.5000 0.2515
Ho 0.0000 0.5000 0.7485
Ho 0.5000 0.5000 0.5000
Tl 0.5000 0.0000 0.2502
Tl 0.5000 0.0000 0.7498

Most intense lines, 10° ≤ 2θ ≤ 80°, low angle first:
Position (°2θ)  I_rel
18.34  7
25.95  6
31.96  100
36.95  17
37.07  17
37.19  17
53.39  24
53.52  12
63.46  14
63.63  14
63.79  14
66.82  12

Entry 5:
The following is a theoretical X-ray diffraction stick pattern of Y7Ho3Tl. It was derived from DFT lattice parameters and positions (GGA-PBE), using Cu Kα (weighted mean of Kα1 and Kα2).
Peak positions follow from Bragg's law for the DFT cell and can differ from measured ones.

Crystal structure
abc: 6.9877 6.9877 8.5269
angles: 90.00 90.00 120.00
Fractional coordinates of all 11 atoms:
Y 0.0000 0.0000 0.0000
Y 0.1634 0.3269 0.3381
Y 0.1634 0.8366 0.3381
Y 0.5015 0.0031 0.0118
Y 0.5015 0.4985 0.0118
Y 0.6731 0.8366 0.3381
Y 0.9969 0.4985 0.0118
Ho 0.3305 0.1653 0.6742
Ho 0.8347 0.1653 0.6742
Ho 0.8347 0.6695 0.6742
Tl 0.6667 0.3333 0.3400

Most intense lines, 10° ≤ 2θ ≤ 80°, low angle first:
Position (°2θ)  I_rel
14.64  20
17.97  13
27.59  8
31.37  100
31.48  33
36.41  67
52.37  23
52.51  23
62.37  41
62.52  13
65.46  12
77.34  7

Entry 6:
The following is a theoretical X-ray diffraction stick pattern of YHo6Tl. It was derived from DFT lattice parameters and positions (GGA-PBE), using Cu Kα (weighted mean of Kα1 and Kα2).
Peak positions follow from Bragg's law for the DFT cell and can differ from measured ones.

Crystal structure
abc: 4.8857 4.8857 10.0167
angles: 90.00 90.00 90.00
Fractional coordinates of all 8 atoms:
Y 0.0000 0.0000 0.0000
Ho 0.0000 0.5000 0.2551
Ho 0.0000 0.5000 0.7449
Ho 0.5000 0.0000 0.2551
Ho 0.5000 0.0000 0.7449
Ho 0.5000 0.5000 0.0000
Ho 0.5000 0.5000 0.5000
Tl 0.0000 0.0000 0.5000

Most intense lines, 10° ≤ 2θ ≤ 80°, low angle first:
Position (°2θ)  I_rel
20.22  2
31.46  100
35.86  18
36.79  33
37.46  1
52.32  24
53.01  12
61.71  14
62.96  28
65.66  12
76.01  2
78.27  4